Starting from a structure optimized by DFT (PBE), the powder diffraction line list of NaSm2PO6 was calculated for Cu Kα, 1.54184 Å.
Neutral-atom scattering factors, no anomalous dispersion.

Top 10 peaks for 2θ = 10–90°, sorted by position:
2θ = 19.07°, rel. 452, hkl 0 0 1; 2θ = 23.93°, rel. 345, hkl 1 1 0; 2θ = 30.78°, rel. 1000, hkl 1 1 1; 2θ = 34.10°, rel. 363, hkl 2 0 0; 2θ = 39.36°, rel. 383, hkl 2 0 1; 2θ = 46.00°, rel. 251, hkl 1 1 2; 2θ = 48.99°, rel. 227, hkl 2 2 0; 2θ = 52.51°, rel. 254, hkl 2 0 2; 2θ = 58.98°, rel. 309, hkl 3 1 1; 2θ = 69.47°, rel. 138, hkl 3 1 2

Cell and atoms:
```
10
Lattice="5.259 0.000 0.000 0.000 5.259 0.000 0.000 0.000 4.655" Properties=species:S:1:pos:R:3 pbc="T T T"
Na 0.000 0.000 0.000
Sm 0.000 2.629 2.031
Sm 2.629 0.000 2.031
P 2.629 2.629 0.170
O 0.000 0.000 2.482
O 1.494 1.494 0.623
O 1.494 3.764 0.623
O 2.629 2.629 3.223
O 3.764 1.494 0.623
O 3.764 3.764 0.623
```